Diffraction record for SrTaVO2. The X-ray diffraction stick pattern is computed, not measured: it uses a PBE+U-relaxed structure and Cu Kα X-rays.
Peak positions follow from Bragg's law for the DFT cell and can differ from measured ones.

Top 8 peaks for 2θ from 5° to 70°, by angle:
2θ/deg  d_spacing  I/Imax
21.7  4.099  37
27.2  3.284  100
30.8  2.898  62
32.6  2.745  42
44.2  2.050  35
45.5  1.993  43
52.6  1.739  33
56.0  1.642  34

Crystal structure
```
SrTaVO2
1.0
4.0990 0.0000 0.0000
0.0000 4.0990 0.0000
0.0000 0.0000 5.4894
Sr Ta V O
1 1 1 2
direct
0.0000 0.0000 0.0000
0.5000 0.5000 0.5000
0.5000 0.5000 0.0000
0.0000 0.5000 0.5000
0.5000 0.0000 0.5000
```